The following is a computed powder XRD pattern of LiHg2Ru. It was derived from a crystal structure in Alexandria, relaxed with GGA-PBE, using copper Kα.
Peak positions follow from Bragg's law for the DFT cell and can differ from measured ones.

Crystal structure
```
data_LiHg2Ru
_cell_length_a 3.168
_cell_length_b 3.192
_cell_length_c 6.816
_cell_angle_alpha 90.00
_cell_angle_beta 90.00
_cell_angle_gamma 90.00
_space_group_name_H-M_alt 'P 1'
_space_group_IT_number 1
_space_group_name_Hall 'P 1'
loop_
_atom_site_label
_atom_site_type_symbol
_atom_site_fract_x
_atom_site_fract_y
_atom_site_fract_z
_atom_site_occupancy
Li1 Li 0.000 0.000 0.000 1
Hg1 Hg 0.500 0.500 0.240 1
Hg2 Hg 0.500 0.500 0.760 1
Ru1 Ru 0.000 0.000 0.500 1
```

Principal peaks in the range 2θ = 10–80°, in order of falling intensity:
2.330 Å, I = 100, (0 1 2); 2.320 Å, I = 99, (1 0 2); 2.249 Å, I = 91, (1 1 0); 3.408 Å, I = 44, (0 0 2); 3.192 Å, I = 38, (0 1 0); 3.168 Å, I = 38, (1 0 0); 1.358 Å, I = 35, (1 1 4); 1.877 Å, I = 35, (1 1 2); 1.315 Å, I = 33, (1 2 2); 1.310 Å, I = 33, (2 1 2)